Entry 1:
Starting from DFT lattice parameters and positions (PBE), the powder diffraction line list of CsPaHgO4 was calculated for Cu Kα (λ = 1.5418 Å).
Intensities are scaled so that the largest is 100.

Crystal structure
Lattice parameters (Å, degrees): 6.988 7.079 11.906 90.00 90.00 90.00
Space group Imma (No. 74)
Unique sites:
Cs 0.000 0.250 0.158 (multiplicity 4)
Pa 0.000 0.000 0.500 (multiplicity 4)
Hg 0.250 0.250 0.750 (multiplicity 4)
O 0.000 0.050 0.685 (multiplicity 8)
O 0.185 0.250 0.489 (multiplicity 8)

The 12 most intense peaks (2θ from 10° to 90°), in order of falling intensity:
29.3°, I = 100.0
25.8°, I = 64.5
29.5°, I = 49.7
14.7°, I = 47.8
47.7°, I = 42.7
29.6°, I = 29.0
36.1°, I = 19.8
40.0°, I = 18.7
30.0°, I = 18.2
47.3°, I = 17.2
47.1°, I = 17.0
53.1°, I = 17.0


Entry 2:
Starting from DFT lattice parameters and positions (PBE), the powder diffraction line list of Ag5Pd12Au2 was calculated for Cu Kα (λ = 1.5418 Å).
Intensities are scaled so that the largest is 100.

Crystal structure
Lattice parameters (Å, degrees): 14.027 9.416 4.942 90.00 103.65 90.00
Space group C2/m (No. 12)
Unique sites:
Ag 0.000 0.000 0.000 (multiplicity 2)
Ag 0.171 0.500 0.373 (multiplicity 4)
Ag 0.218 0.000 0.066 (multiplicity 4)
Pd 0.057 0.500 0.793 (multiplicity 4)
Pd 0.101 0.252 0.100 (multiplicity 8)
Pd 0.110 0.000 0.520 (multiplicity 4)
Pd 0.201 0.247 0.702 (multiplicity 8)
Au 0.000 0.249 0.500 (multiplicity 4)

The 12 most intense peaks (2θ from 10° to 90°), in order of falling intensity:
40.7°, I = 100.0
38.2°, I = 61.7
41.5°, I = 45.2
35.1°, I = 29.9
44.3°, I = 22.8
37.7°, I = 21.1
39.7°, I = 20.1
70.8°, I = 18.7
44.7°, I = 15.0
56.3°, I = 14.4
36.6°, I = 13.5
46.9°, I = 11.6


Entry 3:
Starting from DFT lattice parameters and positions (PBE), the powder diffraction line list of Ac3Sm4Dy2 was calculated for Cu Kα (λ = 1.5418 Å).
Intensities are scaled so that the largest is 100.

Crystal structure
Lattice parameters (Å, degrees): 6.485 6.490 9.319 97.11 96.25 119.74
Space group P-1 (No. 2)
Unique sites:
Ac 0.000 0.000 0.000 (multiplicity 1)
Ac 0.453 0.119 0.334 (multiplicity 2)
Sm 0.109 0.447 0.332 (multiplicity 2)
Sm 0.333 0.658 0.002 (multiplicity 2)
Dy 0.216 0.221 0.665 (multiplicity 2)

The 12 most intense peaks (2θ from 10° to 90°), in order of falling intensity:
30.4°, I = 100.0
32.0°, I = 88.1
29.6°, I = 75.2
30.6°, I = 48.0
32.3°, I = 41.3
48.5°, I = 38.6
57.7°, I = 34.5
27.6°, I = 34.2
55.0°, I = 19.4
48.7°, I = 19.4
27.7°, I = 18.9
58.2°, I = 18.3


Entry 4:
Starting from DFT lattice parameters and positions (PBE), the powder diffraction line list of Pm4Ge2C was calculated for Cu Kα (λ = 1.5418 Å).
Intensities are scaled so that the largest is 100.

Crystal structure
Lattice parameters (Å, degrees): 6.762 14.979 7.306 90.00 90.00 90.00
Space group Cmce (No. 64)
Unique sites:
Pm 0.000 0.172 0.070 (multiplicity 8)
Pm 0.250 0.021 0.750 (multiplicity 8)
Ge 0.000 0.133 0.465 (multiplicity 8)
C 0.000 0.000 0.000 (multiplicity 4)

The 12 most intense peaks (2θ from 10° to 90°), in order of falling intensity:
36.2°, I = 100.0
29.0°, I = 93.2
27.2°, I = 82.0
35.8°, I = 65.9
34.3°, I = 58.5
26.8°, I = 42.1
36.0°, I = 38.7
35.0°, I = 35.9
38.9°, I = 34.6
52.0°, I = 34.3
31.5°, I = 34.2
52.3°, I = 33.2


Entry 5:
Starting from DFT lattice parameters and positions (PBE), the powder diffraction line list of Nd6InCu2 was calculated for Cu Kα (λ = 1.5418 Å).
Intensities are scaled so that the largest is 100.

Crystal structure
Lattice parameters (Å, degrees): 9.607 10.314 10.612 90.00 90.00 90.00
Space group Immm (No. 71)
Unique sites:
Nd 0.000 0.197 0.237 (multiplicity 8)
Nd 0.197 0.500 0.180 (multiplicity 8)
Nd 0.218 0.314 0.500 (multiplicity 8)
In 0.000 0.000 0.000 (multiplicity 2)
In 0.000 0.000 0.500 (multiplicity 2)
Cu 0.000 0.354 0.000 (multiplicity 4)
Cu 0.000 0.500 0.384 (multiplicity 4)

The 12 most intense peaks (2θ from 10° to 90°), in order of falling intensity:
30.5°, I = 100.0
32.4°, I = 54.6
33.1°, I = 36.2
32.6°, I = 35.7
57.6°, I = 28.4
29.2°, I = 22.7
37.4°, I = 21.9
54.9°, I = 21.8
33.8°, I = 19.4
34.0°, I = 16.3
51.3°, I = 14.4
26.6°, I = 13.5